Entry 1:
For Mn2VP2O10, a structure optimized by DFT (PBE+U) gives the simulated X-ray powder pattern in this record (Cu Ka).
Lines closer than 0.1° are merged.

Cell and atoms:
```
data_Mn2VP2O10
_chemical_formula_sum 'Mn8 V4 P8 O40'
_cell_length_a 8.9143
_cell_length_b 8.8971
_cell_length_c 9.4408
_cell_angle_alpha 90.00
_cell_angle_beta 99.41
_cell_angle_gamma 90.00
_symmetry_space_group_name_H-M 'P 1 21/c 1'
_symmetry_Int_Tables_number 14
loop_
_symmetry_equiv_pos_as_xyz
'x,y,z'
'-x,-y,-z'
'-x,y+1/2,-z+1/2'
'x,-y+1/2,z+1/2'
loop_
_atom_site_label
_atom_site_type_symbol
_atom_site_fract_x
_atom_site_fract_y
_atom_site_fract_z
_atom_site_occupancy
Mn1 Mn 0.1538 0.2390 0.1377 1
Mn2 Mn 0.2238 0.5720 0.3832 1
V1 V 0.4221 0.5024 0.7322 1
P1 P 0.0715 0.6494 0.6530 1
P2 P 0.4733 0.2450 0.4913 1
O1 O 0.0446 0.6576 0.4833 1
O2 O 0.0891 0.1265 0.8034 1
O3 O 0.1431 0.7088 0.2174 1
O4 O 0.1582 0.0976 0.5394 1
O5 O 0.1770 0.5078 0.6919 1
O6 O 0.3548 0.1559 0.0606 1
O7 O 0.3820 0.1685 0.3582 1
O8 O 0.3928 0.5178 0.2715 1
O9 O 0.4029 0.6503 0.5574 1
O10 O 0.4393 0.6419 0.8951 1
```

Main lines, sorted by position (10° ≤ 2θ ≤ 80°):
| 2theta | Rel. int. | index |
| --- | --- | --- |
| 13.76 | 100 | 0 1 1 |
| 23.18 | 27 | 2 1 -1 |
| 25.03 | 27 | 1 2 1 |
| 27.73 | 31 | 0 2 2 |
| 30.49 | 39 | 3 0 0 |
| 30.65 | 100 | 1 2 2 |
| 31.21 | 25 | 2 2 1 |
| 31.84 | 32 | 1 3 0 |
| 32.09 | 20 | 3 1 -1 |
| 32.58 | 49 | 2 2 -2 |

***

Entry 2:
For LiCo3O6, a structure optimized by DFT (PBE+U) gives the simulated X-ray powder pattern in this record (Cu Ka).
Lines closer than 0.1° are merged.

Cell and atoms:
```
data_LiCo3O6
_chemical_formula_sum 'Li4 Co12 O24'
_cell_length_a 10.0655
_cell_length_b 8.4396
_cell_length_c 4.8941
_cell_angle_alpha 90.00
_cell_angle_beta 99.16
_cell_angle_gamma 90.00
_symmetry_space_group_name_H-M 'C 1 2 1'
_symmetry_Int_Tables_number 5
loop_
_symmetry_equiv_pos_as_xyz
'x,y,z'
'-x,y,-z'
'x+1/2,y+1/2,z'
'-x+1/2,y+1/2,-z'
loop_
_atom_site_label
_atom_site_type_symbol
_atom_site_fract_x
_atom_site_fract_y
_atom_site_fract_z
_atom_site_occupancy
Li1 Li 0.2499 0.0000 0.2497 1
Co1 Co 0.0000 0.0004 0.5000 1
Co2 Co 0.0000 0.1685 0.0000 1
Co3 Co 0.0000 0.3339 0.5000 1
Co4 Co 0.0000 0.5016 0.0000 1
Co5 Co 0.0000 0.6689 0.5000 1
Co6 Co 0.0000 0.8337 0.0000 1
O1 O 0.0974 0.0022 0.8695 1
O2 O 0.0973 0.3378 0.8655 1
O3 O 0.0977 0.1632 0.3612 1
O4 O 0.0977 0.5032 0.3695 1
O5 O 0.0984 0.8372 0.3649 1
O6 O 0.0989 0.6637 0.8609 1
```

Main lines, sorted by position (10° ≤ 2θ ≤ 80°):
| 2theta | Rel. int. | index |
| --- | --- | --- |
| 17.85 | 100 | 2 0 0 |
| 37.22 | 9 | 0 0 2 |
| 37.37 | 18 | 1 3 -1 |
| 38.81 | 8 | 1 3 1 |
| 44.22 | 14 | 2 0 2 |
| 44.42 | 29 | 3 3 -1 |
| 48.17 | 8 | 4 0 -2 |
| 57.49 | 10 | 5 3 -1 |
| 62.73 | 11 | 6 0 -2 |
| 66.22 | 8 | 1 3 -3 |

***

Entry 3:
For Fe2P3H3O9, a structure optimized by DFT (PBE+U) gives the simulated X-ray powder pattern in this record (Cu Ka).
Lines closer than 0.1° are merged.

Cell and atoms:
```
data_Fe2P3H3O9
_chemical_formula_sum 'Fe4 P6 H6 O18'
_cell_length_a 8.1598
_cell_length_b 8.1598
_cell_length_c 7.4891
_cell_angle_alpha 90.00
_cell_angle_beta 90.00
_cell_angle_gamma 120.00
_symmetry_space_group_name_H-M 'P 63/m'
_symmetry_Int_Tables_number 176
_symmetry_space_group_name_Hall '-P 6c'
loop_
_atom_site_label
_atom_site_type_symbol
_atom_site_fract_x
_atom_site_fract_y
_atom_site_fract_z
_atom_site_occupancy
Fe1 Fe 0.3333 0.6667 0.0492 1
P1 P 0.0471 0.6899 0.7500 1
H1 H 0.0201 0.1816 0.2500 1
O1 O 0.1300 0.5127 0.2500 1
O2 O 0.1621 0.7275 0.5784 1
```

Main lines, sorted by position (10° ≤ 2θ ≤ 80°):
| 2theta | Rel. int. | index |
| --- | --- | --- |
| 12.53 | 100 | 1 0 0 |
| 21.78 | 13 | 1 1 0 |
| 24.85 | 54 | 1 1 1 |
| 25.21 | 11 | 2 0 0 |
| 27.92 | 22 | 2 0 1 |
| 32.45 | 37 | 1 1 2 |
| 38.21 | 15 | 3 0 0 |
| 50.01 | 15 | 1 2 3 |
| 50.98 | 11 | 2 2 2 |
| 60.00 | 18 | 1 4 0 |

***

Entry 4:
For MnNiO3, a structure optimized by DFT (PBE+U) gives the simulated X-ray powder pattern in this record (Cu Ka).
Lines closer than 0.1° are merged.

Cell and atoms:
```
data_MnNiO3
_chemical_formula_sum 'Mn6 Ni6 O18'
_cell_length_a 4.9829
_cell_length_b 4.9829
_cell_length_c 13.7918
_cell_angle_alpha 90.00
_cell_angle_beta 90.00
_cell_angle_gamma 120.00
_symmetry_space_group_name_H-M 'R -3'
_symmetry_Int_Tables_number 148
_symmetry_space_group_name_Hall '-R 3'
loop_
_atom_site_label
_atom_site_type_symbol
_atom_site_fract_x
_atom_site_fract_y
_atom_site_fract_z
_atom_site_occupancy
Mn1 Mn 0.0000 0.0000 0.1568 1
Ni1 Ni 0.0000 0.0000 0.3569 1
O1 O 0.0194 0.6476 0.4218 1
```

Main lines, sorted by position (10° ≤ 2θ ≤ 80°):
| 2theta | Rel. int. | index |
| --- | --- | --- |
| 24.33 | 48 | 0 1 2 |
| 33.26 | 100 | 1 0 4 |
| 36.05 | 88 | 1 1 0 |
| 41.21 | 20 | 1 1 3 |
| 49.86 | 39 | 0 2 4 |
| 54.30 | 68 | 2 -1 6 |
| 63.05 | 33 | 3 -1 4 |
| 64.82 | 36 | 3 0 0 |
| 71.86 | 14 | 1 0 10 |
| 76.46 | 10 | 2 2 0 |

***

Entry 5:
For Li7V5O12, a structure optimized by DFT (PBE+U) gives the simulated X-ray powder pattern in this record (Cu Ka).
Lines closer than 0.1° are merged.

Cell and atoms:
```
data_Li7V5O12
_chemical_formula_sum 'Li14 V10 O24'
_cell_length_a 5.2359
_cell_length_b 8.7188
_cell_length_c 9.6556
_cell_angle_alpha 90.00
_cell_angle_beta 98.15
_cell_angle_gamma 90.00
_symmetry_space_group_name_H-M 'C 1 2 1'
_symmetry_Int_Tables_number 5
loop_
_symmetry_equiv_pos_as_xyz
'x,y,z'
'-x,y,-z'
'x+1/2,y+1/2,z'
'-x+1/2,y+1/2,-z'
loop_
_atom_site_label
_atom_site_type_symbol
_atom_site_fract_x
_atom_site_fract_y
_atom_site_fract_z
_atom_site_occupancy
Li1 Li 0.0000 0.0000 0.0000 1
Li2 Li 0.0000 0.1666 0.5000 1
Li3 Li 0.0000 0.6767 0.0000 1
Li4 Li 0.2344 0.8307 0.2442 1
Li5 Li 0.2434 0.0094 0.7551 1
V1 V 0.0000 0.3440 0.0000 1
V2 V 0.0000 0.4951 0.5000 1
V3 V 0.0000 0.8369 0.5000 1
V4 V 0.2459 0.1627 0.2386 1
O1 O 0.0930 0.1792 0.8667 1
O2 O 0.0941 0.6660 0.3716 1
O3 O 0.1304 0.5129 0.8705 1
O4 O 0.1440 0.0023 0.3778 1
O5 O 0.1498 0.3292 0.3792 1
O6 O 0.1544 0.8308 0.8785 1
```

Main lines, sorted by position (10° ≤ 2θ ≤ 80°):
| 2theta | Rel. int. | index |
| --- | --- | --- |
| 20.95 | 100 | 1 1 -1 |
| 27.70 | 51 | 0 2 2 |
| 36.62 | 11 | 1 1 3 |
| 40.49 | 10 | 2 2 0 |
| 41.95 | 51 | 2 0 2 |
| 44.08 | 90 | 1 3 -3 |
| 62.06 | 28 | 3 3 -1 |
| 62.89 | 24 | 1 3 5 |
| 64.11 | 23 | 2 0 -6 |
| 79.58 | 11 | 2 6 2 |

***

Entry 6:
For V5NiO23, a structure optimized by DFT (PBE+U) gives the simulated X-ray powder pattern in this record (Cu Ka).
Lines closer than 0.1° are merged.

Cell and atoms:
```
data_V5NiO23
_chemical_formula_sum 'V10 Ni2 O46'
_cell_length_a 8.7075
_cell_length_b 10.5693
_cell_length_c 10.7047
_cell_angle_alpha 70.22
_cell_angle_beta 75.18
_cell_angle_gamma 77.41
_symmetry_space_group_name_H-M 'P -1'
_symmetry_Int_Tables_number 2
loop_
_symmetry_equiv_pos_as_xyz
'x,y,z'
'-x,-y,-z'
loop_
_atom_site_label
_atom_site_type_symbol
_atom_site_fract_x
_atom_site_fract_y
_atom_site_fract_z
_atom_site_occupancy
V1 V 0.0968 0.0530 0.2202 1
V2 V 0.1430 0.3095 0.2961 1
V3 V 0.1453 0.7635 0.4297 1
V4 V 0.1862 0.0209 0.5159 1
V5 V 0.1994 0.7397 0.7107 1
Ni1 Ni 0.2171 0.3321 0.7495 1
O1 O 0.0073 0.3475 0.4590 1
O2 O 0.0116 0.3621 0.9039 1
O3 O 0.0309 0.0980 0.6463 1
O4 O 0.0368 0.7526 0.0807 1
O5 O 0.0397 0.8770 0.5915 1
O6 O 0.0619 0.6266 0.7706 1
O7 O 0.0688 0.1734 0.8521 1
O8 O 0.0717 0.4167 0.6331 1
O9 O 0.0960 0.8456 0.8229 1
O10 O 0.1836 0.9931 0.0946 1
O11 O 0.1950 0.2032 0.1817 1
O12 O 0.2305 0.9490 0.3611 1
O13 O 0.2318 0.6983 0.3082 1
O14 O 0.2484 0.4317 0.2229 1
O15 O 0.2614 0.1736 0.4187 1
O16 O 0.2821 0.7010 0.5504 1
O17 O 0.3188 0.9164 0.6081 1
O18 O 0.3592 0.6280 0.8154 1
O19 O 0.3713 0.4849 0.8515 1
O20 O 0.3842 0.4372 0.7490 1
O21 O 0.3850 0.2011 0.6720 1
O22 O 0.4435 0.1092 0.7837 1
O23 O 0.4762 0.9973 0.2378 1
```

Main lines, sorted by position (10° ≤ 2θ ≤ 80°):
| 2theta | Rel. int. | index |
| --- | --- | --- |
| 10.62 | 100 | 1 0 0 |
| 12.67 | 27 | 1 1 1 |
| 15.21 | 7 | 1 0 -1 |
| 17.98 | 25 | 0 0 2 |
| 24.79 | 9 | 2 0 -1 |
| 25.50 | 16 | 2 2 2 |
| 27.16 | 8 | 0 3 0 |
| 32.22 | 9 | 2 3 0 |
| 38.52 | 8 | 0 3 4 |
| 43.13 | 7 | -1 3 4 |

***

Entry 7:
For CaLaNbCoO6, a structure optimized by DFT (PBE+U) gives the simulated X-ray powder pattern in this record (Cu Ka).
Lines closer than 0.1° are merged.

Cell and atoms:
```
data_CaLaNbCoO6
_chemical_formula_sum 'Ca2 La2 Nb2 Co2 O12'
_cell_length_a 5.5679
_cell_length_b 5.7449
_cell_length_c 9.7066
_cell_angle_alpha 90.00
_cell_angle_beta 124.68
_cell_angle_gamma 90.00
_symmetry_space_group_name_H-M 'P 1 c 1'
_symmetry_Int_Tables_number 7
loop_
_symmetry_equiv_pos_as_xyz
'x,y,z'
'x,-y,z+1/2'
loop_
_atom_site_label
_atom_site_type_symbol
_atom_site_fract_x
_atom_site_fract_y
_atom_site_fract_z
_atom_site_occupancy
Ca1 Ca 0.0000 0.1954 0.0000 1
La1 La 0.5317 0.3023 0.5051 1
Nb1 Nb 0.2686 0.2448 0.7540 1
Co1 Co 0.7674 0.2509 0.2523 1
O1 O 0.0210 0.4643 0.1979 1
O2 O 0.1174 0.2141 0.5093 1
O3 O 0.4108 0.2803 0.9957 1
O4 O 0.5175 0.0394 0.3058 1
O5 O 0.6074 0.4432 0.7997 1
O6 O 0.9294 0.0484 0.7055 1
```

Main lines, sorted by position (10° ≤ 2θ ≤ 80°):
| 2theta | Rel. int. | index |
| --- | --- | --- |
| 19.03 | 37 | 0 1 1 |
| 19.49 | 21 | 1 0 -2 |
| 31.14 | 45 | 0 2 0 |
| 31.61 | 100 | 1 1 1 |
| 31.74 | 99 | 1 1 -3 |
| 32.15 | 47 | 2 0 -2 |
| 45.40 | 80 | 0 0 4 |
| 55.74 | 26 | 1 3 1 |
| 56.91 | 36 | 3 1 -1 |
| 57.15 | 23 | 3 1 -5 |

***

Entry 8:
For LiFeF4, a structure optimized by DFT (PBE+U) gives the simulated X-ray powder pattern in this record (Cu Ka).
Lines closer than 0.1° are merged.

Cell and atoms:
```
data_LiFeF4
_chemical_formula_sum 'Li4 Fe4 F16'
_cell_length_a 5.1094
_cell_length_b 9.6683
_cell_length_c 8.0267
_cell_angle_alpha 90.00
_cell_angle_beta 128.28
_cell_angle_gamma 90.00
_symmetry_space_group_name_H-M 'P 1 21/c 1'
_symmetry_Int_Tables_number 14
loop_
_symmetry_equiv_pos_as_xyz
'x,y,z'
'-x,-y,-z'
'-x,y+1/2,-z+1/2'
'x,-y+1/2,z+1/2'
loop_
_atom_site_label
_atom_site_type_symbol
_atom_site_fract_x
_atom_site_fract_y
_atom_site_fract_z
_atom_site_occupancy
Li1 Li 0.2223 0.1857 0.2388 1
Fe1 Fe 0.0000 0.0000 0.5000 1
Fe2 Fe 0.5000 0.0000 0.0000 1
F1 F 0.1270 0.1162 0.7515 1
F2 F 0.1968 0.6167 0.4888 1
F3 F 0.2623 0.1181 0.4736 1
F4 F 0.4169 0.6023 0.2483 1
```

Main lines, sorted by position (10° ≤ 2θ ≤ 80°):
| 2theta | Rel. int. | index |
| --- | --- | --- |
| 18.35 | 57 | 0 2 0 |
| 19.66 | 100 | 1 1 -1 |
| 32.86 | 19 | 1 3 -1 |
| 33.96 | 18 | 0 2 2 |
| 38.09 | 16 | 1 2 1 |
| 38.68 | 16 | 1 2 -3 |
| 43.66 | 12 | 1 3 1 |
| 44.19 | 13 | 1 3 -3 |
| 52.10 | 14 | 2 4 -2 |
| 58.63 | 16 | 0 0 4 |